Structure and computed powder X-ray diffraction pattern of Nb6Mo3Ru (a cell relaxed with GGA-PBE; CuKα).

Structural model:
a b c (Å): 7.942 4.577 9.712
angles (deg): 90.00 105.84 90.00
Fractional coordinates of all 20 atoms:
Nb1 0.046 0.250 0.399
Nb2 0.146 0.750 0.196
Nb3 0.252 0.250 0.997
Nb4 0.348 0.750 0.803
Nb5 0.350 0.250 0.297
Nb6 0.447 0.250 0.602
Nb7 0.553 0.750 0.398
Nb8 0.650 0.750 0.703
Nb9 0.652 0.250 0.197
Nb10 0.748 0.750 0.003
Nb11 0.854 0.250 0.804
Nb12 0.954 0.750 0.601
Mo1 0.050 0.750 0.900
Mo2 0.152 0.250 0.701
Mo3 0.252 0.750 0.500
Mo4 0.748 0.250 0.500
Mo5 0.848 0.750 0.299
Mo6 0.950 0.250 0.100
Ru1 0.450 0.750 0.098
Ru2 0.550 0.250 0.902

Largest 4 diffraction maxima, by angle, 2θ = 10–80°:
two_theta	Rel. int.
39.35	100
56.86	17
71.26	8
71.36	25

---

Structure and computed powder X-ray diffraction pattern of Rb2Y2MnS6 (a cell relaxed with GGA-PBE; CuKα).

Structural model:
a b c (Å): 6.648 6.648 8.177
angles (deg): 98.37 98.37 119.22
Fractional coordinates of all 11 atoms:
Rb1 0.173 0.827 0.000
Rb2 0.827 0.173 0.000
Y1 0.333 0.667 0.500
Y2 0.667 0.333 0.500
Mn1 0.000 0.000 0.500
S1 0.065 0.362 0.681
S2 0.232 0.232 0.322
S3 0.362 0.065 0.681
S4 0.638 0.935 0.319
S5 0.768 0.768 0.678
S6 0.935 0.638 0.319

Largest 12 diffraction maxima, by angle, 2θ = 10–80°:
two_theta	Rel. int.
11.30	44
16.96	11
22.71	26
27.70	10
27.84	21
30.44	51
31.01	100
40.86	33
41.08	19
46.99	30
47.56	28
57.53	15

---

Structure and computed powder X-ray diffraction pattern of SbP2S2 (a cell relaxed with GGA-PBE; CuKα).

Structural model:
a b c (Å): 4.606 4.606 4.474
angles (deg): 90.00 90.00 90.00
Fractional coordinates of all 5 atoms:
Sb1 0.000 0.000 0.000
P1 0.500 0.500 0.000
P2 0.500 0.500 0.500
S1 0.000 0.500 0.500
S2 0.500 0.000 0.500

Largest 12 diffraction maxima, by angle, 2θ = 10–80°:
two_theta	Rel. int.
19.27	18
27.38	34
27.80	71
34.05	100
39.11	59
40.31	27
48.66	30
49.42	14
56.51	19
57.42	36
67.64	25
71.68	18

---

Structure and computed powder X-ray diffraction pattern of PrZn4Pt (a cell relaxed with GGA-PBE; CuKα).

Structural model:
a b c (Å): 5.299 5.299 5.299
angles (deg): 60.00 60.00 60.00
Fractional coordinates of all 6 atoms:
Pr1 0.000 0.000 0.000
Zn1 0.129 0.624 0.624
Zn2 0.624 0.129 0.624
Zn3 0.624 0.624 0.129
Zn4 0.624 0.624 0.624
Pt1 0.250 0.250 0.250

Largest 11 diffraction maxima, by angle, 2θ = 10–80°:
two_theta	Rel. int.
20.53	12
23.75	1
33.83	60
39.90	100
41.75	17
53.28	3
54.78	1
60.52	23
64.62	31
71.17	23
74.98	3

---

Which formula does entry 3 have? SbP2S2